Entry 1:
Calculated XRD peak list
Compound: Li2VCl4
Radiation: Cu Kα, 1.54184 Å
Structure: a PBE-relaxed structure

Main lines, in order of falling intensity (2θ = 10–90°):
Position (°2θ)	I/Imax
34.4	100
14.8	95
49.3	67
34.2	51
28.2	36
29.4	32
29.8	32
16.9	18
49.0	18
45.3	17

Cell and atoms:
abc: 7.399 7.399 7.399
angles: 120.70 119.68 89.67
Fractional coordinates of all 14 atoms:
Li  0.000  0.000  0.500
Li  0.000  0.500  0.000
Li  0.391  0.141  0.250
Li  0.609  0.859  0.750
V  0.000  0.500  0.500
V  0.500  0.500  0.000
Cl  0.221  0.736  0.485
Cl  0.249  0.264  0.985
Cl  0.250  0.269  0.519
Cl  0.250  0.731  0.981
Cl  0.750  0.269  0.019
Cl  0.750  0.731  0.481
Cl  0.751  0.736  0.015
Cl  0.779  0.264  0.515



Entry 2:
Calculated XRD peak list
Compound: Ce3Pr3SmSe8
Radiation: Cu Kα, 1.54184 Å
Structure: a PBE-relaxed structure

Main lines, in order of falling intensity (2θ = 10–90°):
Position (°2θ)	I/Imax
29.9	100
42.8	75
70.4	34
53.0	26
78.3	25
62.1	12
25.8	9
12.8	8
24.7	5
50.6	5

Cell and atoms:
abc: 8.456 8.456 8.457
angles: 119.96 119.96 60.03
Fractional coordinates of all 15 atoms:
Ce  0.000  0.000  0.000
Ce  0.000  0.500  0.500
Ce  0.500  0.000  0.500
Pr  0.000  0.500  0.000
Pr  0.500  0.000  0.000
Pr  0.500  0.500  0.500
Sm  0.500  0.500  0.000
Se  0.248  0.749  0.750
Se  0.249  0.249  0.252
Se  0.251  0.251  0.748
Se  0.251  0.752  0.250
Se  0.749  0.248  0.750
Se  0.749  0.749  0.252
Se  0.751  0.751  0.748
Se  0.752  0.251  0.250



Repeat the second record exactly.
Calculated XRD peak list
Compound: Ce3Pr3SmSe8
Radiation: Cu Kα, 1.54184 Å
Structure: a PBE-relaxed structure

Main lines, in order of falling intensity (2θ = 10–90°):
Position (°2θ)	I/Imax
29.9	100
42.8	75
70.4	34
53.0	26
78.3	25
62.1	12
25.8	9
12.8	8
24.7	5
50.6	5

Cell and atoms:
abc: 8.456 8.456 8.457
angles: 119.96 119.96 60.03
Fractional coordinates of all 15 atoms:
Ce  0.000  0.000  0.000
Ce  0.000  0.500  0.500
Ce  0.500  0.000  0.500
Pr  0.000  0.500  0.000
Pr  0.500  0.000  0.000
Pr  0.500  0.500  0.500
Sm  0.500  0.500  0.000
Se  0.248  0.749  0.750
Se  0.249  0.249  0.252
Se  0.251  0.251  0.748
Se  0.251  0.752  0.250
Se  0.749  0.248  0.750
Se  0.749  0.749  0.252
Se  0.751  0.751  0.748
Se  0.752  0.251  0.250